[1]
Calculated X-ray diffraction stick pattern
Compound: Zr3CdAg3
Radiation: λ = 1.5418 Å (Cu Kα)
Structure: DFT lattice parameters and positions (GGA-PBE)
Kinematic intensities with the Lorentz-polarization factor, no thermal factor.

Peak list (10 most intense, 2θ = 10–80°, sorted by position)
| 2θ/deg | I/Imax |
| --- | --- |
| 36.41 | 100.0 |
| 36.53 | 95.2 |
| 37.58 | 49.0 |
| 37.95 | 40.9 |
| 50.53 | 16.9 |
| 54.47 | 26.9 |
| 64.68 | 22.7 |
| 67.10 | 30.5 |
| 67.47 | 11.2 |
| 67.69 | 10.1 |

Cell and atoms:
```
14
Lattice="7.3319 0.0000 0.0000 0.0000 4.7868 0.0000 -2.8473 0.0000 8.1780" Properties=species:S:1:pos:R:3 pbc="T T T"
Zr -0.7211 1.1967 2.1579
Zr -1.8433 1.1967 7.8767
Zr 1.8379 3.5901 1.4303
Zr 2.6467 1.1967 6.7477
Zr 6.3279 3.5901 0.3012
Zr 5.2057 3.5901 6.0201
Cd -0.0433 1.1967 5.3302
Cd 4.5279 3.5901 2.8478
Ag -0.0386 3.5901 3.6792
Ag 0.6131 3.5901 7.1864
Ag 2.0008 1.1967 3.2353
Ag 2.4838 3.5901 4.9426
Ag 3.8715 1.1967 0.9916
Ag 4.5232 1.1967 4.4988
```

=====

[2]
Calculated X-ray diffraction stick pattern
Compound: LiSbAu6
Radiation: λ = 1.5418 Å (Cu Kα)
Structure: DFT lattice parameters and positions (GGA-PBE)
Kinematic intensities with the Lorentz-polarization factor, no thermal factor.

Peak list (10 most intense, 2θ = 10–80°, sorted by position)
| 2θ/deg | I/Imax |
| --- | --- |
| 17.32 | 7.2 |
| 25.10 | 15.6 |
| 35.05 | 23.8 |
| 36.53 | 27.9 |
| 39.68 | 100.0 |
| 51.52 | 16.1 |
| 62.87 | 17.3 |
| 67.87 | 20.9 |
| 74.95 | 21.0 |
| 76.96 | 14.7 |

Cell and atoms:
```
8
Lattice="5.9131 0.0000 0.0000 -2.9566 5.1209 0.0000 0.0000 0.0000 4.9201" Properties=species:S:1:pos:R:3 pbc="T T T"
Li 0.0000 0.0000 0.0000
Sb 0.0000 3.4139 2.4600
Au 1.4460 0.8348 2.4600
Au 2.9566 0.0298 0.0000
Au 1.5041 2.5456 0.0000
Au 4.4671 0.8348 2.4600
Au 2.9566 3.4512 2.4600
Au 4.4090 2.5456 0.0000
```

=====

[3]
Calculated X-ray diffraction stick pattern
Compound: RePbClO4
Radiation: λ = 1.5418 Å (Cu Kα)
Structure: DFT lattice parameters and positions (GGA-PBE)
Kinematic intensities with the Lorentz-polarization factor, no thermal factor.

Peak list (10 most intense, 2θ = 10–80°, sorted by position)
| 2θ/deg | I/Imax |
| --- | --- |
| 23.71 | 100.0 |
| 24.13 | 94.7 |
| 26.25 | 80.9 |
| 30.39 | 55.7 |
| 36.90 | 23.3 |
| 40.58 | 47.2 |
| 44.57 | 31.7 |
| 45.30 | 22.7 |
| 48.52 | 18.6 |
| 64.04 | 15.1 |

Cell and atoms:
```
14
Lattice="5.8824 0.0000 0.0000 0.0000 9.4660 0.0000 0.0000 0.0000 4.8735" Properties=species:S:1:pos:R:3 pbc="T T T"
Re 0.0000 1.1847 0.0000
Re 2.9412 8.2813 2.4367
Pb 0.0000 6.3518 0.2673
Pb 2.9412 3.1143 2.7040
Cl 0.0000 4.4546 2.3076
Cl 2.9412 5.0115 4.7443
O 0.0000 1.2179 1.7349
O 0.0000 8.9767 4.3581
O 1.4498 2.0201 4.3151
O 1.4914 7.4459 1.8784
O 2.9412 0.4893 1.9213
O 2.9412 8.2482 4.1717
O 4.3910 7.4459 1.8784
O 4.4326 2.0201 4.3151
```

=====

[4]
Calculated X-ray diffraction stick pattern
Compound: Sm7Tl2Pd2
Radiation: λ = 1.5418 Å (Cu Kα)
Structure: DFT lattice parameters and positions (GGA-PBE)
Kinematic intensities with the Lorentz-polarization factor, no thermal factor.

Peak list (10 most intense, 2θ = 10–80°, sorted by position)
| 2θ/deg | I/Imax |
| --- | --- |
| 19.85 | 28.3 |
| 24.68 | 40.1 |
| 26.56 | 31.3 |
| 27.96 | 47.0 |
| 29.21 | 27.8 |
| 31.49 | 64.8 |
| 35.94 | 45.0 |
| 36.48 | 100.0 |
| 42.28 | 22.4 |
| 54.70 | 23.6 |

Cell and atoms:
```
11
Lattice="4.1579 -5.6821 0.0000 4.1579 5.6821 0.0000 0.0000 0.0000 7.2544" Properties=species:S:1:pos:R:3 pbc="T T T"
Sm 0.0000 0.0000 0.0000
Sm 2.0790 2.8410 1.8508
Sm 2.0790 2.8410 5.4036
Sm 2.0790 -2.8410 1.8508
Sm 2.0790 -2.8410 5.4036
Sm 4.1579 0.0000 1.7879
Sm 4.1579 0.0000 5.4665
Tl 1.4731 0.0000 3.6272
Tl 6.8427 0.0000 3.6272
Pd 4.1579 2.3794 0.0000
Pd 4.1579 -2.3794 0.0000
```